No. 1
The following is a computed X-ray diffraction stick pattern of Ac3Zn2GaCu6. It was derived from a crystal structure in Alexandria, relaxed with PBE, using CuKα.
Neutral-atom scattering factors, no anomalous dispersion.

Atomic structure:
```
data_Ac3Zn2GaCu6
_cell_length_a 6.1701
_cell_length_b 6.1701
_cell_length_c 8.1033
_cell_angle_alpha 90.00
_cell_angle_beta 90.00
_cell_angle_gamma 120.00
_space_group_name_H-M_alt 'P -3 m 1'
_space_group_IT_number 164
_space_group_name_Hall '-P 3 2"'
loop_
_atom_site_label
_atom_site_type_symbol
_atom_site_fract_x
_atom_site_fract_y
_atom_site_fract_z
_atom_site_occupancy
Ac1 Ac 0.0000 0.0000 0.0000 1
Ac2 Ac 0.3333 0.6667 0.7310 1
Zn1 Zn 0.3333 0.6667 0.1196 1
Ga1 Ga 0.0000 0.0000 0.5000 1
Cu1 Cu 0.2004 0.4008 0.3772 1
```

Main lines, sorted by position (2θ = 15–90°):
d (Å)  I_rel
4.461  35
3.228  90
3.085  100
2.537  59
2.411  58
2.230  66
1.808  43
1.693  23
1.617  27
1.543  25

---

No. 2
The following is a computed X-ray diffraction stick pattern of BHSe2. It was derived from a crystal structure in Alexandria, relaxed with PBE, using CuKα.
Neutral-atom scattering factors, no anomalous dispersion.

Atomic structure:
```
data_BHSe2
_cell_length_a 6.081
_cell_length_b 7.769
_cell_length_c 5.727
_cell_angle_alpha 90.00
_cell_angle_beta 90.00
_cell_angle_gamma 90.00
_space_group_name_H-M_alt 'P n a 21'
_space_group_IT_number 33
_space_group_name_Hall 'P 2c -2n'
loop_
_atom_site_label
_atom_site_type_symbol
_atom_site_fract_x
_atom_site_fract_y
_atom_site_fract_z
_atom_site_occupancy
B1 B 0.053 0.116 0.000 1
H1 H 0.016 0.538 0.442 1
Se1 Se 0.051 0.107 0.641 1
Se2 Se 0.109 0.658 0.622 1
```

Main lines, sorted by position (2θ = 15–90°):
d (Å)  I_rel
3.274  25
3.040  15
2.863  40
2.842  100
2.685  41
2.155  14
1.797  15
1.649  22
1.617  13
1.522  16

---

No. 3
The following is a computed X-ray diffraction stick pattern of PmNd3Au3. It was derived from a crystal structure in Alexandria, relaxed with PBE, using CuKα.
Neutral-atom scattering factors, no anomalous dispersion.

Atomic structure:
```
data_PmNd3Au3
_cell_length_a 9.801
_cell_length_b 11.041
_cell_length_c 7.415
_cell_angle_alpha 90.00
_cell_angle_beta 91.31
_cell_angle_gamma 90.00
_space_group_name_H-M_alt 'C 1 2/m 1'
_space_group_IT_number 12
_space_group_name_Hall '-C 2y'
loop_
_atom_site_label
_atom_site_type_symbol
_atom_site_fract_x
_atom_site_fract_y
_atom_site_fract_z
_atom_site_occupancy
Pm1 Pm 0.243 0.000 0.368 1
Nd1 Nd 0.000 0.246 0.500 1
Nd2 Nd 0.000 0.322 0.000 1
Nd3 Nd 0.146 0.000 0.866 1
Au1 Au 0.066 0.500 0.312 1
Au2 Au 0.243 0.248 0.228 1
```

Main lines, sorted by position (2θ = 15–90°):
d (Å)  I_rel
3.133  21
2.924  51
2.908  29
2.760  62
2.628  100
2.584  23
2.450  21
2.239  27
2.007  22
1.757  24